[1]
# CrTcAuI
Calculated powder XRD pattern, λ = 1.5418 Å (Cu Kα). Input: DFT lattice parameters and positions (GGA-PBE).
Lines closer than 0.1° are merged.

The 8 most intense peaks (5° ≤ 2θ ≤ 70°), low angle first:
2θ/deg	I/Imax
10.9	95
26.4	84
29.5	60
34.5	89
39.2	79
39.6	100
40.0	66
42.7	94

Structural model:
Lattice parameters (Å, degrees): 3.1113 3.3729 8.2366 90.00 98.47 90.00
Fractional positions:
Cr: 0.0000 0.0000 0.0000
Tc: 0.7502 0.5000 0.1447
Au: 0.3046 0.0000 0.3557
I: 0.4281 0.0000 0.7363

[2]
# Li2PmHo2Ge2
Calculated powder XRD pattern, λ = 1.5418 Å (Cu Kα). Input: DFT lattice parameters and positions (GGA-PBE).
Lines closer than 0.1° are merged.

The 8 most intense peaks (5° ≤ 2θ ≤ 70°), low angle first:
2θ/deg	I/Imax
23.1	100
32.8	74
35.3	97
40.1	76
52.7	19
54.5	28
66.9	27
69.8	27

Structural model:
Lattice parameters (Å, degrees): 9.3027 9.3027 9.3027 27.97 27.97 27.97
Fractional positions:
Li: 0.0953 0.0953 0.0953
Li: 0.9047 0.9047 0.9047
Pm: 0.5000 0.5000 0.5000
Ho: 0.3720 0.3720 0.3720
Ho: 0.6280 0.6280 0.6280
Ge: 0.2398 0.2398 0.2398
Ge: 0.7602 0.7602 0.7602

[3]
# K3Ho3ScSe8
Calculated powder XRD pattern, λ = 1.5418 Å (Cu Kα). Input: DFT lattice parameters and positions (GGA-PBE).
Lines closer than 0.1° are merged.

The 8 most intense peaks (5° ≤ 2θ ≤ 70°), low angle first:
2θ/deg	I/Imax
11.2	75
29.4	100
36.8	25
39.7	33
44.4	34
45.9	14
49.6	15
54.1	18

Structural model:
Lattice parameters (Å, degrees): 9.1888 9.1888 9.1888 52.77 52.77 52.77
Fractional positions:
K: 0.0000 0.5000 0.5000
K: 0.5000 0.0000 0.5000
K: 0.5000 0.5000 0.0000
Ho: 0.0000 0.0000 0.5000
Ho: 0.0000 0.5000 0.0000
Ho: 0.5000 0.0000 0.0000
Sc: 0.5000 0.5000 0.5000
Se: 0.2352 0.2352 0.2352
Se: 0.2430 0.7272 0.7272
Se: 0.2728 0.2728 0.7570
Se: 0.2728 0.7570 0.2728
Se: 0.7272 0.2430 0.7272
Se: 0.7272 0.7272 0.2430
Se: 0.7570 0.2728 0.2728
Se: 0.7648 0.7648 0.7648

[4]
# Zr7Cd6
Calculated powder XRD pattern, λ = 1.5418 Å (Cu Kα). Input: DFT lattice parameters and positions (GGA-PBE).
Lines closer than 0.1° are merged.

The 8 most intense peaks (5° ≤ 2θ ≤ 70°), low angle first:
2θ/deg	I/Imax
30.9	64
33.9	56
35.5	100
35.9	46
36.5	62
38.7	49
58.6	30
64.3	37

Structural model:
Lattice parameters (Å, degrees): 10.8927 10.8927 10.8927 30.85 30.85 30.85
Fractional positions:
Zr: 0.0000 0.0000 0.0000
Zr: 0.0901 0.0901 0.5862
Zr: 0.0901 0.5862 0.0901
Zr: 0.4138 0.9099 0.9099
Zr: 0.5862 0.0901 0.0901
Zr: 0.9099 0.4138 0.9099
Zr: 0.9099 0.9099 0.4138
Cd: 0.1664 0.1664 0.1664
Cd: 0.3490 0.3490 0.3490
Cd: 0.4513 0.4513 0.4513
Cd: 0.5487 0.5487 0.5487
Cd: 0.6510 0.6510 0.6510
Cd: 0.8336 0.8336 0.8336

[5]
# Dy5SeS5
Calculated powder XRD pattern, λ = 1.5418 Å (Cu Kα). Input: DFT lattice parameters and positions (GGA-PBE).
Lines closer than 0.1° are merged.

The 8 most intense peaks (5° ≤ 2θ ≤ 70°), low angle first:
2θ/deg	I/Imax
17.6	18
27.8	79
32.1	50
32.2	100
46.1	71
46.2	36
54.8	26
57.4	37

Structural model:
Lattice parameters (Å, degrees): 6.8004 6.8004 7.8711 106.56 106.56 48.24
Fractional positions:
Dy: 0.0000 0.0000 0.0000
Dy: 0.3319 0.3319 0.6560
Dy: 0.3369 0.3369 0.1792
Dy: 0.6631 0.6631 0.8208
Dy: 0.6681 0.6681 0.3440
Se: 0.5000 0.5000 0.0000
S: 0.1655 0.1655 0.3323
S: 0.1717 0.1717 0.8403
S: 0.5000 0.5000 0.5000
S: 0.8283 0.8283 0.1597
S: 0.8345 0.8345 0.6677

[6]
# Pm5TmGe2
Calculated powder XRD pattern, λ = 1.5418 Å (Cu Kα). Input: DFT lattice parameters and positions (GGA-PBE).
Lines closer than 0.1° are merged.

The 8 most intense peaks (5° ≤ 2θ ≤ 70°), low angle first:
2θ/deg	I/Imax
24.9	26
28.5	65
32.1	100
34.4	35
37.7	25
38.4	41
40.3	32
56.4	17

Structural model:
Lattice parameters (Å, degrees): 4.4749 9.6276 10.7164 90.00 90.00 90.00
Fractional positions:
Pm: 0.0000 0.0000 0.0000
Pm: 0.0000 0.3105 0.3398
Pm: 0.0000 0.3105 0.6602
Pm: 0.0000 0.6895 0.3398
Pm: 0.0000 0.6895 0.6602
Pm: 0.5000 0.1895 0.1602
Pm: 0.5000 0.1895 0.8398
Pm: 0.5000 0.5000 0.5000
Pm: 0.5000 0.8105 0.1602
Pm: 0.5000 0.8105 0.8398
Tm: 0.0000 0.5000 0.0000
Tm: 0.5000 0.0000 0.5000
Ge: 0.0000 0.0000 0.2981
Ge: 0.0000 0.0000 0.7019
Ge: 0.5000 0.5000 0.2019
Ge: 0.5000 0.5000 0.7981

[7]
# DyY2PuS4
Calculated powder XRD pattern, λ = 1.5418 Å (Cu Kα). Input: DFT lattice parameters and positions (GGA-PBE).
Lines closer than 0.1° are merged.

The 8 most intense peaks (5° ≤ 2θ ≤ 70°), low angle first:
2θ/deg	I/Imax
13.8	23
26.7	16
27.8	37
27.9	37
32.3	100
46.3	48
57.4	13
57.7	12

Structural model:
Lattice parameters (Å, degrees): 6.8004 3.9107 6.8019 90.00 109.24 90.00
Fractional positions:
Dy: 0.0000 0.0000 0.0000
Y: 0.0000 0.5000 0.5000
Y: 0.5000 0.0000 0.5000
Pu: 0.5000 0.5000 0.0000
S: 0.2478 0.0000 0.7485
S: 0.2482 0.5000 0.2503
S: 0.7522 0.0000 0.2515
S: 0.7518 0.5000 0.7497

[8]
# KSiAsO6
Calculated powder XRD pattern, λ = 1.5418 Å (Cu Kα). Input: DFT lattice parameters and positions (GGA-PBE).
Lines closer than 0.1° are merged.

The 8 most intense peaks (5° ≤ 2θ ≤ 70°), low angle first:
2θ/deg	I/Imax
14.3	87
21.3	13
25.7	100
37.3	15
40.1	16
45.8	14
47.8	47
60.5	15

Structural model:
Lattice parameters (Å, degrees): 4.8270 4.8270 6.1948 90.00 90.00 120.00
Fractional positions:
K: 0.0000 0.0000 0.0000
Si: 0.6667 0.3333 0.5000
As: 0.3333 0.6667 0.5000
O: 0.3747 0.0110 0.6623
O: 0.3747 0.3637 0.3377
O: 0.6363 0.0110 0.3377
O: 0.6363 0.6253 0.6623
O: 0.9890 0.3637 0.6623
O: 0.9890 0.6253 0.3377

[9]
# Cd2H5Rh3
Calculated powder XRD pattern, λ = 1.5418 Å (Cu Kα). Input: DFT lattice parameters and positions (GGA-PBE).
Lines closer than 0.1° are merged.

The 8 most intense peaks (5° ≤ 2θ ≤ 70°), low angle first:
2θ/deg	I/Imax
28.8	42
33.0	30
34.0	50
36.1	46
37.1	27
39.2	100
42.3	30
56.1	28

Structural model:
Lattice parameters (Å, degrees): 6.9094 6.9094 6.9094 106.96 90.95 133.75
Fractional positions:
Cd: 0.2330 0.1210 0.3540
Cd: 0.2670 0.6210 0.8881
Cd: 0.7330 0.3790 0.1119
Cd: 0.7670 0.8790 0.6460
H: 0.0974 0.4387 0.5361
H: 0.2500 0.2500 0.0000
H: 0.2500 0.5284 0.2784
H: 0.2500 0.9716 0.7216
H: 0.4026 0.9387 0.3413
H: 0.5974 0.0613 0.6587
H: 0.7500 0.0284 0.2784
H: 0.7500 0.4716 0.7216
H: 0.7500 0.7500 0.0000
H: 0.9026 0.5613 0.4639
Rh: 0.0526 0.8445 0.8971
Rh: 0.2500 0.7500 0.5000
Rh: 0.4474 0.3445 0.7919
Rh: 0.5526 0.6555 0.2081
Rh: 0.7500 0.2500 0.5000
Rh: 0.9474 0.1555 0.1029

[10]
# Ho2ErRh9
Calculated powder XRD pattern, λ = 1.5418 Å (Cu Kα). Input: DFT lattice parameters and positions (GGA-PBE).
Lines closer than 0.1° are merged.

The 8 most intense peaks (5° ≤ 2θ ≤ 70°), low angle first:
2θ/deg	I/Imax
30.9	29
33.7	31
34.2	38
39.9	35
40.1	100
41.2	19
43.4	27
65.2	23

Structural model:
Lattice parameters (Å, degrees): 9.2778 9.2778 9.2778 32.81 32.81 32.81
Fractional positions:
Ho: 0.1388 0.1388 0.1388
Ho: 0.8612 0.8612 0.8612
Er: 0.0000 0.0000 0.0000
Rh: 0.0822 0.5830 0.5830
Rh: 0.3331 0.3331 0.3331
Rh: 0.4170 0.4170 0.9178
Rh: 0.4170 0.9178 0.4170
Rh: 0.5000 0.5000 0.5000
Rh: 0.5830 0.0822 0.5830
Rh: 0.5830 0.5830 0.0822
Rh: 0.6669 0.6669 0.6669
Rh: 0.9178 0.4170 0.4170

[11]
# TlHgBr2
Calculated powder XRD pattern, λ = 1.5418 Å (Cu Kα). Input: DFT lattice parameters and positions (GGA-PBE).
Lines closer than 0.1° are merged.

The 8 most intense peaks (5° ≤ 2θ ≤ 70°), low angle first:
2θ/deg	I/Imax
21.3	21
23.2	39
27.7	25
32.1	100
35.9	19
41.7	14
43.7	12
46.8	13

Structural model:
Lattice parameters (Å, degrees): 4.1417 4.3278 15.3296 90.00 90.00 90.00
Fractional positions:
Tl: 0.0000 0.0000 0.0000
Tl: 0.5000 0.5000 0.5000
Hg: 0.0000 0.5000 0.2781
Hg: 0.5000 0.0000 0.7781
Br: 0.0000 0.0000 0.5815
Br: 0.0000 0.5000 0.8001
Br: 0.5000 0.0000 0.3001
Br: 0.5000 0.5000 0.0815

[12]
# Li3Cu2Si2
Calculated powder XRD pattern, λ = 1.5418 Å (Cu Kα). Input: DFT lattice parameters and positions (GGA-PBE).
Lines closer than 0.1° are merged.

The 8 most intense peaks (5° ≤ 2θ ≤ 70°), low angle first:
2θ/deg	I/Imax
15.0	34
25.4	35
26.8	19
26.9	37
30.2	16
32.2	25
43.8	100
43.9	50

Structural model:
Lattice parameters (Å, degrees): 7.1717 4.1203 6.3660 90.00 111.77 90.00
Fractional positions:
Li: 0.0000 0.0000 0.0000
Li: 0.1444 0.0000 0.4319
Li: 0.3556 0.5000 0.5681
Li: 0.5000 0.5000 0.0000
Li: 0.6444 0.5000 0.4319
Li: 0.8556 0.0000 0.5681
Cu: 0.2208 0.5000 0.1584
Cu: 0.2792 0.0000 0.8416
Cu: 0.7208 0.0000 0.1584
Cu: 0.7792 0.5000 0.8416
Si: 0.0748 0.5000 0.7277
Si: 0.4252 0.0000 0.2723
Si: 0.5748 0.0000 0.7277
Si: 0.9252 0.5000 0.2723

Please write out number 8 again, unchanged.
# KSiAsO6
Calculated powder XRD pattern, λ = 1.5418 Å (Cu Kα). Input: DFT lattice parameters and positions (GGA-PBE).
Lines closer than 0.1° are merged.

The 8 most intense peaks (5° ≤ 2θ ≤ 70°), low angle first:
2θ/deg	I/Imax
14.3	87
21.3	13
25.7	100
37.3	15
40.1	16
45.8	14
47.8	47
60.5	15

Structural model:
Lattice parameters (Å, degrees): 4.8270 4.8270 6.1948 90.00 90.00 120.00
Fractional positions:
K: 0.0000 0.0000 0.0000
Si: 0.6667 0.3333 0.5000
As: 0.3333 0.6667 0.5000
O: 0.3747 0.0110 0.6623
O: 0.3747 0.3637 0.3377
O: 0.6363 0.0110 0.3377
O: 0.6363 0.6253 0.6623
O: 0.9890 0.3637 0.6623
O: 0.9890 0.6253 0.3377